Theoretical X-ray powder pattern
Compound: LiPm2PdAu6
Radiation: Cu Ka
Structure: a crystal structure in Alexandria, relaxed with PBE
Peak positions follow from Bragg's law for the DFT cell and can differ from measured ones.

Main lines, sorted by position (2θ from 10° to 90°):
d (Å)	I_rel	h k l
4.409	83	0 1 -1
3.458	69	0 0 2
2.690	100	1 2 0
2.560	66	2 0 1
2.414	91	1 0 3
2.400	70	1 2 2
2.360	79	1 -2 1
2.346	49	2 1 2
2.305	57	0 2 2
2.182	50	-1 2 1

```
data_LiPm2PdAu6
_space_group_name_H-M_alt 'P -1'
_space_group_IT_number 2
_cell_length_a 5.182
_cell_length_b 6.020
_cell_length_c 7.356
_cell_angle_alpha 84.60
_cell_angle_beta 70.19
_cell_angle_gamma 81.25
loop_
_space_group_symop_operation_xyz
'x,y,z'
'-x,-y,-z'
loop_
_atom_site_label
_atom_site_fract_x
_atom_site_fract_y
_atom_site_fract_z
Li1 0.000 0.000 0.000
Pm1 0.344 0.284 0.219
Pd1 0.500 0.500 0.500
Au1 0.144 0.381 0.841
Au2 0.213 0.943 0.605
Au3 0.303 0.790 0.218
```

=====

Theoretical X-ray powder pattern
Compound: Li2Pd5PtAu
Radiation: Cu Ka
Structure: a crystal structure in Alexandria, relaxed with PBE
Peak positions follow from Bragg's law for the DFT cell and can differ from measured ones.

Main lines, sorted by position (2θ from 10° to 90°):
d (Å)	I_rel	h k l
7.889	43	0 0 2
2.732	13	2 0 2
2.343	100	2 0 4
2.059	33	2 2 0
1.972	15	0 0 8
1.456	10	4 0 0
1.424	20	2 2 8
1.237	24	4 2 4
1.198	12	2 0 12
1.171	10	4 0 8

```
data_Li2Pd5PtAu
_space_group_name_H-M_alt 'I 4/m c m'
_space_group_IT_number 140
_space_group_name_Hall '-I 4 2c'
_cell_length_a 5.824
_cell_length_b 5.824
_cell_length_c 15.778
_cell_angle_alpha 90.00
_cell_angle_beta 90.00
_cell_angle_gamma 90.00
loop_
_atom_site_label
_atom_site_fract_x
_atom_site_fract_y
_atom_site_fract_z
Li1 0.118 0.382 0.000
Pd1 0.000 0.000 0.000
Pd2 0.232 0.268 0.372
Pt1 0.000 0.000 0.250
Au1 0.000 0.500 0.250
```

=====

Theoretical X-ray powder pattern
Compound: LiPdPtAu
Radiation: Cu Ka
Structure: a crystal structure in Alexandria, relaxed with PBE
Peak positions follow from Bragg's law for the DFT cell and can differ from measured ones.

Main lines, sorted by position (2θ from 10° to 90°):
d (Å)	I_rel	h k l
4.562	58	1 0 0
2.396	26	0 1 1
2.294	34	0 0 2
2.280	100	2 0 0
1.993	45	1 1 1
1.947	21	2 0 -2
1.396	14	1 1 -3
1.390	14	3 1 -1
1.199	18	3 1 1
1.140	11	4 0 0

```
data_LiPdPtAu
_space_group_name_H-M_alt 'P 1 2/m 1'
_space_group_IT_number 10
_cell_length_a 4.797
_cell_length_b 2.811
_cell_length_c 4.825
_cell_angle_alpha 90.00
_cell_angle_beta 108.04
_cell_angle_gamma 90.00
loop_
_space_group_symop_operation_xyz
'x,y,z'
'-x,-y,-z'
'-x,y,-z'
'x,-y,z'
loop_
_atom_site_label
_atom_site_fract_x
_atom_site_fract_y
_atom_site_fract_z
Li1 0.000 0.000 0.000
Pd1 0.000 0.500 0.500
Pt1 0.500 0.000 0.500
Au1 0.500 0.500 0.000
```

=====

Theoretical X-ray powder pattern
Compound: Sr2LiPd6Au
Radiation: Cu Ka
Structure: a crystal structure in Alexandria, relaxed with PBE
Peak positions follow from Bragg's law for the DFT cell and can differ from measured ones.

Main lines, sorted by position (2θ from 10° to 90°):
d (Å)	I_rel	h k l
5.532	52	0 0 1
5.477	100	1 0 -1
2.886	88	1 0 1
2.864	98	0 2 -1
2.845	90	-2 1 2
2.383	32	2 0 0
2.183	37	0 2 1
2.160	51	2 -3 0
2.136	50	1 1 1
1.933	52	3 0 -2

```
data_Sr2LiPd6Au
_space_group_name_H-M_alt 'P -1'
_space_group_IT_number 2
_cell_length_a 6.655
_cell_length_b 6.671
_cell_length_c 6.737
_cell_angle_alpha 90.65
_cell_angle_beta 119.47
_cell_angle_gamma 119.33
loop_
_space_group_symop_operation_xyz
'x,y,z'
'-x,-y,-z'
loop_
_atom_site_label
_atom_site_fract_x
_atom_site_fract_y
_atom_site_fract_z
Sr1 0.106 0.195 0.302
Li1 0.500 0.000 0.500
Pd1 0.023 0.628 0.346
Pd2 0.277 0.681 0.123
Pd3 0.445 0.843 0.819
Au1 0.500 0.500 0.000
```

=====

Theoretical X-ray powder pattern
Compound: Li2Pm3Au6
Radiation: Cu Ka
Structure: a crystal structure in Alexandria, relaxed with PBE
Peak positions follow from Bragg's law for the DFT cell and can differ from measured ones.

Main lines, sorted by position (2θ from 10° to 90°):
d (Å)	I_rel	h k l
5.814	24	0 0 4
3.113	36	1 1 2
2.824	39	1 1 4
2.482	100	1 1 6
2.326	19	0 0 10
2.285	58	2 0 0
1.630	26	2 0 10
1.616	20	2 2 0
1.354	31	3 1 6
1.326	31	1 1 16

```
data_Li2Pm3Au6
_space_group_name_H-M_alt 'I 4/m m m'
_space_group_IT_number 139
_space_group_name_Hall '-I 4 2'
_cell_length_a 4.569
_cell_length_b 4.569
_cell_length_c 23.256
_cell_angle_alpha 90.00
_cell_angle_beta 90.00
_cell_angle_gamma 90.00
loop_
_atom_site_label
_atom_site_fract_x
_atom_site_fract_y
_atom_site_fract_z
Li1 0.000 0.000 0.054
Pm1 0.000 0.000 0.308
Pm2 0.000 0.000 0.500
Au1 0.000 0.000 0.181
Au2 0.000 0.500 0.096
```

=====

Theoretical X-ray powder pattern
Compound: Li5Pm2Au12
Radiation: Cu Ka
Structure: a crystal structure in Alexandria, relaxed with PBE
Peak positions follow from Bragg's law for the DFT cell and can differ from measured ones.

Main lines, sorted by position (2θ from 10° to 90°):
d (Å)	I_rel	h k l
4.648	39	1 1 0
3.502	23	2 0 2
2.975	25	2 1 1
2.683	23	3 0 0
2.663	39	0 2 4
2.368	35	0 0 6
2.335	100	3 0 3
2.086	44	2 2 3
1.472	16	3 3 3
1.361	15	3 0 9

```
data_Li5Pm2Au12
_space_group_name_H-M_alt 'R -3 m'
_space_group_IT_number 166
_space_group_name_Hall '-R 3 2"'
_cell_length_a 9.2956
_cell_length_b 9.2956
_cell_length_c 14.2095
_cell_angle_alpha 90.00
_cell_angle_beta 90.00
_cell_angle_gamma 120.00
loop_
_atom_site_label
_atom_site_fract_x
_atom_site_fract_y
_atom_site_fract_z
Li1 0.0000 0.0000 0.0909
Li2 0.0000 0.5000 0.5000
Pm1 0.0000 0.0000 0.3522
Au1 0.0000 0.3059 0.0000
Au2 0.0205 0.5103 0.8451
```

=====

Theoretical X-ray powder pattern
Compound: Li5Pm4Au6
Radiation: Cu Ka
Structure: a crystal structure in Alexandria, relaxed with PBE
Peak positions follow from Bragg's law for the DFT cell and can differ from measured ones.

Main lines, sorted by position (2θ from 10° to 90°):
d (Å)	I_rel	h k l
3.608	49	0 2 4
3.490	62	1 3 1
3.188	41	1 1 3
3.112	61	0 4 4
2.972	52	1 5 0
2.918	40	1 5 1
2.794	85	1 1 4
2.570	100	1 5 3
2.076	65	2 0 0
1.870	43	1 3 7

```
data_Li5Pm4Au6
_space_group_name_H-M_alt 'C m c 21'
_space_group_IT_number 36
_cell_length_a 4.153
_cell_length_b 21.276
_cell_length_c 15.349
_cell_angle_alpha 90.00
_cell_angle_beta 90.00
_cell_angle_gamma 90.00
loop_
_space_group_symop_operation_xyz
'x,y,z'
'-x,-y,z+1/2'
'-x,y,z'
'x,-y,z+1/2'
'x+1/2,y+1/2,z'
'-x+1/2,-y+1/2,z+1/2'
'-x+1/2,y+1/2,z'
'x+1/2,-y+1/2,z+1/2'
loop_
_atom_site_label
_atom_site_fract_x
_atom_site_fract_y
_atom_site_fract_z
Li1 0.000 0.060 0.000
Li2 0.000 0.145 0.321
Li3 0.000 0.165 0.592
Li4 0.000 0.194 0.943
Li5 0.000 0.338 0.958
Pm1 0.000 0.318 0.268
Pm2 0.000 0.344 0.630
Pm3 0.000 0.466 0.105
Pm4 0.000 0.488 0.841
Au1 0.000 0.057 0.192
Au2 0.000 0.072 0.465
Au3 0.000 0.079 0.743
Au4 0.000 0.258 0.091
Au5 0.000 0.281 0.807
Au6 0.000 0.387 0.440
```

=====

Theoretical X-ray powder pattern
Compound: Li5Pm2Au5
Radiation: Cu Ka
Structure: a crystal structure in Alexandria, relaxed with PBE
Peak positions follow from Bragg's law for the DFT cell and can differ from measured ones.

Main lines, sorted by position (2θ from 10° to 90°):
d (Å)	I_rel	h k l
4.555	61	1 0 0
2.746	35	0 1 3
2.652	35	0 2 0
2.351	100	1 1 3
2.292	23	1 2 0
2.277	24	2 0 0
1.753	19	2 1 3
1.728	20	2 2 0
1.466	23	1 3 3
1.329	17	3 1 3

```
data_Li5Pm2Au5
_space_group_name_H-M_alt 'P m m m'
_space_group_IT_number 47
_cell_length_a 4.555
_cell_length_b 5.303
_cell_length_c 9.627
_cell_angle_alpha 90.00
_cell_angle_beta 90.00
_cell_angle_gamma 90.00
loop_
_space_group_symop_operation_xyz
'x,y,z'
'-x,-y,-z'
'-x,-y,z'
'x,y,-z'
'x,-y,-z'
'-x,y,z'
'-x,y,-z'
'x,-y,z'
loop_
_atom_site_label
_atom_site_fract_x
_atom_site_fract_y
_atom_site_fract_z
Li1 0.000 0.000 0.000
Li2 0.000 0.253 0.255
Pm1 0.500 0.000 0.500
Pm2 0.500 0.500 0.000
Au1 0.000 0.500 0.500
Au2 0.500 0.000 0.168
Au3 0.500 0.500 0.318
```